# Co3P2O9
Calculated PXRD pattern, a wavelength of 1.5418 Å. Input: a structure optimized by DFT (GGA+U).
Kinematic intensities with the Lorentz-polarization factor, no thermal factor.

The 10 most intense peaks (2θ from 10° to 90°), by angle:
| 2θ/deg | I_rel |
| --- | --- |
| 13.38 | 62 |
| 13.66 | 85 |
| 20.07 | 78 |
| 20.63 | 54 |
| 22.71 | 27 |
| 23.91 | 43 |
| 24.99 | 28 |
| 26.98 | 100 |
| 27.54 | 24 |
| 28.94 | 21 |

Atomic structure:
```
data_Co3P2O9
_cell_length_a 10.2684
_cell_length_b 8.5148
_cell_length_c 13.0368
_cell_angle_alpha 90.00
_cell_angle_beta 126.30
_cell_angle_gamma 90.00
_symmetry_space_group_name_H-M 'P 1 21/c 1'
_symmetry_Int_Tables_number 14
loop_
_symmetry_equiv_pos_as_xyz
'x,y,z'
'-x,-y,-z'
'-x,y+1/2,-z+1/2'
'x,-y+1/2,z+1/2'
loop_
_atom_site_label
_atom_site_fract_x
_atom_site_fract_y
_atom_site_fract_z
_atom_site_occupancy
Co1 0.0901 0.1481 0.4057 1
Co2 0.2653 0.0132 0.6965 1
Co3 0.3911 0.7364 0.9747 1
P1 0.1333 0.0078 0.8548 1
P2 0.4794 0.0387 0.6552 1
O1 0.0411 0.0281 0.2639 1
O2 0.0887 0.5953 0.1093 1
O3 0.1233 0.1371 0.9338 1
O4 0.2130 0.6423 0.4332 1
O5 0.2446 0.0793 0.8199 1
O6 0.2825 0.0504 0.5583 1
O7 0.4381 0.6787 0.8559 1
O8 0.4746 0.1182 0.3723 1
O9 0.4908 0.0389 0.7805 1
```